# 1
Diffraction record for Mg14FeCoO16. The powder X-ray diffraction pattern is calculated, not measured: it uses a crystal structure in the Materials Project, relaxed with GGA+U and λ = 1.5418 Å (Cu Kα).
Neutral-atom scattering factors, no anomalous dispersion.

Structure:
a = 8.551 Å, b = 8.551 Å, c = 4.246 Å
α = 90.00°, β = 90.00°, γ = 90.00°
Space group P4/mmm (No. 123)
Symmetry-distinct sites (fractional):
Mg: 0.000 0.248 0.000 [4 per cell]
Mg: 0.000 0.500 0.500 [2 per cell]
Mg: 0.247 0.247 0.500 [4 per cell]
Mg: 0.248 0.500 0.000 [4 per cell]
Fe: 0.500 0.500 0.500 [1 per cell]
Co: 0.000 0.000 0.500 [1 per cell]
O: 0.000 0.000 0.000 [1 per cell]
O: 0.000 0.258 0.500 [4 per cell]
O: 0.000 0.500 0.000 [2 per cell]
O: 0.250 0.250 0.000 [4 per cell]
O: 0.251 0.500 0.500 [4 per cell]
O: 0.500 0.500 0.000 [1 per cell]

Main lines, by angle (2θ from 15° to 90°):
(hkl)  2θ/deg  d [Å]  intensity
1 1 1  25.64  3.475  7
2 2 1  36.48  2.463  27
4 0 0  42.28  2.138  100
0 0 2  42.58  2.123  49
4 4 0  61.33  1.512  28
4 0 2  61.56  1.506  56
6 2 1  73.51  1.288  10
4 4 2  77.52  1.231  25

# 2
Diffraction record for MgFeCo3O8. The powder X-ray diffraction pattern is calculated, not measured: it uses a crystal structure in the Materials Project, relaxed with GGA+U and λ = 1.5418 Å (Cu Kα).
Neutral-atom scattering factors, no anomalous dispersion.

Structure:
a = 10.137 Å, b = 5.726 Å, c = 5.992 Å
α = 90.00°, β = 124.76°, γ = 90.00°
Space group C2/m (No. 12)
Symmetry-distinct sites (fractional):
Mg: 0.000 0.000 0.000 [2 per cell]
Fe: 0.000 0.500 0.500 [2 per cell]
Co: 0.000 0.000 0.500 [2 per cell]
Co: 0.250 0.250 0.500 [4 per cell]
O: 0.022 0.236 0.296 [8 per cell]
O: 0.247 0.500 0.712 [4 per cell]
O: 0.248 0.500 0.298 [4 per cell]

Main lines, by angle (2θ from 15° to 90°):
(hkl)  2θ/deg  d [Å]  intensity
0 0 1  18.02  4.923  100
4 0 -1  36.00  2.495  13
2 2 -1  36.53  2.460  26
4 0 0  43.46  2.082  21
2 2 -2  43.74  2.070  41
2 2 -3  57.06  1.614  15
2 2 2  62.74  1.481  11
6 2 -2  63.99  1.455  11

# 3
Diffraction record for MgFe4Co2O8. The powder X-ray diffraction pattern is calculated, not measured: it uses a crystal structure in the Materials Project, relaxed with GGA+U and λ = 1.5418 Å (Cu Kα).
Neutral-atom scattering factors, no anomalous dispersion.

Structure:
a = 10.657 Å, b = 6.047 Å, c = 6.639 Å
α = 90.00°, β = 128.38°, γ = 90.00°
Space group Cm (No. 8)
Symmetry-distinct sites (fractional):
Mg: 0.000 0.000 0.000 [2 per cell]
Fe: 0.132 0.000 0.631 [2 per cell]
Fe: 0.172 0.500 0.670 [2 per cell]
Fe: 0.244 0.275 0.240 [4 per cell]
Co: 0.421 0.000 0.695 [2 per cell]
Co: 0.425 0.000 0.137 [2 per cell]
O: 0.158 0.500 0.956 [2 per cell]
O: 0.167 0.500 0.366 [2 per cell]
O: 0.181 0.000 0.979 [2 per cell]
O: 0.183 0.000 0.386 [2 per cell]
O: 0.350 0.243 0.852 [4 per cell]
O: 0.490 0.231 0.488 [4 per cell]

Main lines, by angle (2θ from 15° to 90°):
(hkl)  2θ/deg  d [Å]  intensity
1 1 0  18.11  4.899  64
3 1 -2  32.59  2.748  94
0 2 1  34.31  2.614  100
0 0 2  34.51  2.599  59
4 0 -1  34.94  2.568  50
0 2 2  46.05  1.971  49
2 2 1  46.38  1.958  59
4 2 -3  52.39  1.746  46

# 4
Diffraction record for MgFe3Co5O16. The powder X-ray diffraction pattern is calculated, not measured: it uses a crystal structure in the Materials Project, relaxed with GGA+U and λ = 1.5418 Å (Cu Kα).
Neutral-atom scattering factors, no anomalous dispersion.

Structure:
a = 5.818 Å, b = 5.835 Å, c = 8.756 Å
α = 90.05°, β = 91.82°, γ = 119.84°
Space group P1 (No. 1)
Symmetry-distinct sites (fractional):
Mg: 0.000 0.000 0.000 [1 per cell]
Fe: 0.006 0.503 0.829 [1 per cell]
Fe: 0.187 0.840 0.344 [1 per cell]
Fe: 0.188 0.344 0.344 [1 per cell]
Co: 0.017 0.010 0.612 [1 per cell]
Co: 0.506 0.004 0.835 [1 per cell]
Co: 0.506 0.499 0.836 [1 per cell]
Co: 0.683 0.342 0.122 [1 per cell]
Co: 0.690 0.845 0.335 [1 per cell]
O: 0.004 0.501 0.228 [1 per cell]
O: 0.013 0.005 0.226 [1 per cell]
O: 0.173 0.324 0.733 [1 per cell]
O: 0.173 0.854 0.737 [1 per cell]
O: 0.299 0.147 0.487 [1 per cell]
O: 0.355 0.677 0.942 [1 per cell]
O: 0.374 0.686 0.444 [1 per cell]
O: 0.387 0.193 0.967 [1 per cell]
O: 0.534 0.024 0.231 [1 per cell]
O: 0.534 0.509 0.231 [1 per cell]
O: 0.652 0.328 0.728 [1 per cell]
O: 0.677 0.842 0.746 [1 per cell]
O: 0.806 0.619 0.975 [1 per cell]
O: 0.807 0.190 0.974 [1 per cell]
O: 0.860 0.136 0.475 [1 per cell]
O: 0.860 0.725 0.476 [1 per cell]

Main lines, by angle (2θ from 15° to 90°):
(hkl)  2θ/deg  d [Å]  intensity
1 0 -1  19.99  4.441  37
0 1 -1  20.14  4.410  55
0 0 2  20.30  4.375  100
1 -1 1  20.47  4.339  47
-1 1 2  26.71  3.338  42
2 0 -1  36.75  2.446  40
2 -4 0  63.80  1.459  57
4 -2 0  64.07  1.453  41

# 5
Diffraction record for MgFe3Co5O16. The powder X-ray diffraction pattern is calculated, not measured: it uses a crystal structure in the Materials Project, relaxed with GGA+U and λ = 1.5418 Å (Cu Kα).
Neutral-atom scattering factors, no anomalous dispersion.

Structure:
a = 5.771 Å, b = 5.780 Å, c = 8.914 Å
α = 89.55°, β = 89.30°, γ = 60.92°
Space group P1 (No. 1)
Symmetry-distinct sites (fractional):
Mg: 0.000 0.000 0.000 [1 per cell]
Fe: 0.005 0.501 0.260 [1 per cell]
Fe: 0.334 0.331 0.754 [1 per cell]
Fe: 0.500 0.001 0.259 [1 per cell]
Co: 0.343 0.825 0.749 [1 per cell]
Co: 0.503 0.504 0.033 [1 per cell]
Co: 0.829 0.340 0.748 [1 per cell]
Co: 0.834 0.829 0.541 [1 per cell]
Co: 0.995 0.002 0.289 [1 per cell]
O: 0.000 0.995 0.656 [1 per cell]
O: 0.123 0.702 0.406 [1 per cell]
O: 0.159 0.156 0.858 [1 per cell]
O: 0.164 0.165 0.370 [1 per cell]
O: 0.217 0.658 0.891 [1 per cell]
O: 0.325 0.834 0.146 [1 per cell]
O: 0.344 0.346 0.150 [1 per cell]
O: 0.510 0.505 0.645 [1 per cell]
O: 0.510 0.984 0.649 [1 per cell]
O: 0.646 0.643 0.878 [1 per cell]
O: 0.659 0.216 0.891 [1 per cell]
O: 0.701 0.688 0.399 [1 per cell]
O: 0.705 0.121 0.407 [1 per cell]
O: 0.834 0.328 0.147 [1 per cell]
O: 0.852 0.850 0.157 [1 per cell]
O: 0.989 0.505 0.650 [1 per cell]

Main lines, by angle (2θ from 15° to 90°):
(hkl)  2θ/deg  d [Å]  intensity
0 0 2  19.92  4.457  90
1 0 1  20.18  4.400  100
1 1 1  20.33  4.369  79
1 0 2  26.60  3.351  32
0 2 1  36.95  2.433  61
2 0 -1  37.18  2.418  33
2 2 1  37.37  2.406  32
2 -2 0  63.58  1.463  42

# 6
Diffraction record for MgFe4Co2O8. The powder X-ray diffraction pattern is calculated, not measured: it uses a crystal structure in the Materials Project, relaxed with GGA+U and λ = 1.5418 Å (Cu Kα).
Neutral-atom scattering factors, no anomalous dispersion.

Structure:
a = 10.640 Å, b = 6.049 Å, c = 6.639 Å
α = 90.00°, β = 128.20°, γ = 90.00°
Space group Cm (No. 8)
Symmetry-distinct sites (fractional):
Mg: 0.000 0.000 0.000 [2 per cell]
Fe: 0.133 0.000 0.632 [2 per cell]
Fe: 0.172 0.500 0.669 [2 per cell]
Fe: 0.245 0.275 0.239 [4 per cell]
Co: 0.422 0.000 0.694 [2 per cell]
Co: 0.426 0.000 0.135 [2 per cell]
O: 0.160 0.500 0.956 [2 per cell]
O: 0.167 0.500 0.365 [2 per cell]
O: 0.183 0.000 0.385 [2 per cell]
O: 0.183 0.000 0.980 [2 per cell]
O: 0.351 0.243 0.851 [4 per cell]
O: 0.491 0.231 0.490 [4 per cell]

Main lines, by angle (2θ from 15° to 90°):
(hkl)  2θ/deg  d [Å]  intensity
1 1 0  18.10  4.901  64
2 0 -2  26.86  3.320  40
1 1 -2  32.51  2.754  46
3 1 -2  32.64  2.743  47
0 2 1  34.30  2.614  100
3 1 0  35.46  2.531  43
2 2 -2  40.34  2.236  40
4 2 0  53.27  1.720  45

# 7
Diffraction record for MgFe4Co2O12. The powder X-ray diffraction pattern is calculated, not measured: it uses a crystal structure in the Materials Project, relaxed with GGA+U and λ = 1.5418 Å (Cu Kα).
Neutral-atom scattering factors, no anomalous dispersion.

Structure:
a = 8.116 Å, b = 6.208 Å, c = 8.651 Å
α = 90.00°, β = 90.32°, γ = 90.00°
Space group Cm (No. 8)
Symmetry-distinct sites (fractional):
Mg: 0.000 0.000 0.000 [2 per cell]
Fe: 0.203 0.500 0.333 [2 per cell]
Fe: 0.205 0.500 0.664 [2 per cell]
Fe: 0.290 0.000 0.819 [2 per cell]
Fe: 0.291 0.000 0.180 [2 per cell]
Co: 0.127 0.000 0.499 [2 per cell]
Co: 0.173 0.500 0.998 [2 per cell]
O: 0.020 0.500 0.160 [2 per cell]
O: 0.021 0.500 0.837 [2 per cell]
O: 0.063 0.500 0.498 [2 per cell]
O: 0.198 0.190 0.999 [4 per cell]
O: 0.199 0.189 0.339 [4 per cell]
O: 0.200 0.189 0.659 [4 per cell]
O: 0.334 0.500 0.156 [2 per cell]
O: 0.335 0.500 0.841 [2 per cell]
O: 0.404 0.500 0.499 [2 per cell]

Main lines, by angle (2θ from 15° to 90°):
(hkl)  2θ/deg  d [Å]  intensity
2 0 0  21.90  4.058  100
1 1 2  27.43  3.252  19
0 2 0  28.76  3.104  91
1 1 -3  36.03  2.493  34
1 1 3  36.15  2.485  40
3 1 3  48.53  1.876  14
4 0 -3  55.20  1.664  13
1 3 -3  55.85  1.646  38

# 8
Diffraction record for MgFe3Co5O16. The powder X-ray diffraction pattern is calculated, not measured: it uses a crystal structure in the Materials Project, relaxed with GGA+U and λ = 1.5418 Å (Cu Kα).
Neutral-atom scattering factors, no anomalous dispersion.

Structure:
a = 5.801 Å, b = 5.806 Å, c = 8.906 Å
α = 87.91°, β = 87.87°, γ = 60.09°
Space group P1 (No. 1)
Symmetry-distinct sites (fractional):
Mg: 0.000 0.000 0.000 [1 per cell]
Fe: 0.020 0.019 0.702 [1 per cell]
Fe: 0.351 0.834 0.257 [1 per cell]
Fe: 0.836 0.349 0.258 [1 per cell]
Co: 0.021 0.517 0.746 [1 per cell]
Co: 0.341 0.338 0.249 [1 per cell]
Co: 0.519 0.019 0.746 [1 per cell]
Co: 0.519 0.518 0.966 [1 per cell]
Co: 0.838 0.834 0.470 [1 per cell]
O: 0.000 0.997 0.360 [1 per cell]
O: 0.001 0.524 0.355 [1 per cell]
O: 0.136 0.682 0.599 [1 per cell]
O: 0.170 0.163 0.143 [1 per cell]
O: 0.201 0.200 0.634 [1 per cell]
O: 0.227 0.655 0.104 [1 per cell]
O: 0.343 0.851 0.850 [1 per cell]
O: 0.349 0.348 0.846 [1 per cell]
O: 0.502 0.506 0.364 [1 per cell]
O: 0.528 0.995 0.355 [1 per cell]
O: 0.654 0.226 0.104 [1 per cell]
O: 0.654 0.653 0.104 [1 per cell]
O: 0.684 0.133 0.599 [1 per cell]
O: 0.704 0.702 0.627 [1 per cell]
O: 0.853 0.341 0.851 [1 per cell]
O: 0.853 0.852 0.845 [1 per cell]

Main lines, by angle (2θ from 15° to 90°):
(hkl)  2θ/deg  d [Å]  intensity
0 0 2  19.95  4.450  100
1 0 1  20.10  4.419  42
1 0 -1  20.47  4.339  47
1 1 -1  20.68  4.294  35
2 2 0  35.74  2.512  32
0 2 1  36.95  2.433  64
0 2 -1  37.37  2.406  30
4 2 0  64.24  1.450  38